(1)
Diffraction record for Ir4O11. The powder diffraction line list is theoretical, not measured: it uses a GGA-PBE-relaxed structure and a wavelength of 1.5418 Å.

Main lines, sorted by position (15 to 90 degrees two-theta):
hkl 1 0 0, 19.26°, intensity 64.7
hkl 1 0 1, 20.53°, intensity 57.8
hkl 0 1 -1, 20.91°, intensity 100.0
hkl 0 0 2, 21.20°, intensity 80.2
hkl 1 -1 0, 28.82°, intensity 45.7
hkl 1 1 2, 30.12°, intensity 53.2
hkl 0 1 -3, 36.98°, intensity 38.2
hkl 2 1 -1, 43.18°, intensity 39.8
hkl 1 -2 1, 45.34°, intensity 36.7
hkl 1 1 4, 47.11°, intensity 34.2

Structure:
```
data_Ir4O11
_chemical_formula_sum 'Ir4 O11'
_space_group_name_H-M_alt 'P 1'
_space_group_IT_number 1
_cell_length_a 4.7419
_cell_length_b 5.0105
_cell_length_c 8.4848
_cell_angle_alpha 88.44
_cell_angle_beta 81.08
_cell_angle_gamma 79.49
loop_
_space_group_symop_operation_xyz
'x,y,z'
loop_
_atom_site_label
_atom_site_type_symbol
_atom_site_fract_x
_atom_site_fract_y
_atom_site_fract_z
_atom_site_occupancy
Ir1 Ir 0.0000 0.0000 0.0000 1
Ir2 Ir 0.0496 0.2636 0.4340 1
Ir3 Ir 0.1633 0.4844 0.8098 1
Ir4 Ir 0.6638 0.9602 0.3450 1
O1 O 0.0181 0.0867 0.2286 1
O2 O 0.2496 0.6523 0.9940 1
O3 O 0.3082 0.9249 0.4767 1
O4 O 0.3338 0.1343 0.8859 1
O5 O 0.4308 0.3187 0.3386 1
O6 O 0.4613 0.5109 0.6621 1
O7 O 0.6585 0.9005 0.1231 1
O8 O 0.8366 0.3623 0.9504 1
O9 O 0.8515 0.6080 0.3838 1
O10 O 0.9224 0.8343 0.8099 1
O11 O 0.9733 0.3340 0.6504 1
```

(2)
Diffraction record for CdAsPbO. The powder diffraction line list is theoretical, not measured: it uses a GGA-PBE-relaxed structure and a wavelength of 1.5418 Å.

Main lines, sorted by position (15 to 90 degrees two-theta):
hkl 0 0 2, 21.96°, intensity 26.2
hkl 1 0 2, 27.30°, intensity 58.2
hkl 1 1 0, 28.71°, intensity 46.6
hkl 2 0 0, 32.37°, intensity 62.5
hkl 0 1 2, 32.51°, intensity 100.0
hkl 1 1 2, 36.44°, intensity 20.2
hkl 2 1 2, 46.53°, intensity 73.1
hkl 1 0 4, 47.86°, intensity 17.0
hkl 1 1 4, 54.07°, intensity 17.1
hkl 2 2 0, 59.46°, intensity 17.8

Structure:
```
data_CdAsPbO
_chemical_formula_sum 'Cd2 As2 Pb2 O2'
_space_group_name_H-M_alt 'P m c 21'
_space_group_IT_number 26
_cell_length_a 5.5319
_cell_length_b 3.7590
_cell_length_c 8.0953
_cell_angle_alpha 90.00
_cell_angle_beta 90.00
_cell_angle_gamma 90.00
loop_
_space_group_symop_operation_xyz
'x,y,z'
'-x,-y,z+1/2'
'-x,y,z'
'x,-y,z+1/2'
loop_
_atom_site_label
_atom_site_type_symbol
_atom_site_fract_x
_atom_site_fract_y
_atom_site_fract_z
_atom_site_occupancy
Cd1 Cd 0.0000 0.0088 0.0000 1
As1 As 0.0000 0.4807 0.2567 1
Pb1 Pb 0.5000 0.4553 0.6909 1
O1 O 0.5000 0.0357 0.0255 1
```

(3)
Diffraction record for Sc4Tl2In3Ni2. The powder diffraction line list is theoretical, not measured: it uses a GGA-PBE-relaxed structure and a wavelength of 1.5418 Å.

Main lines, sorted by position (15 to 90 degrees two-theta):
hkl 1 0 2, 23.55°, intensity 36.7
hkl 0 1 0, 26.69°, intensity 93.7
hkl 1 0 3, 32.52°, intensity 52.0
hkl 1 1 -2, 34.73°, intensity 49.3
hkl 3 0 0, 35.74°, intensity 55.9
hkl 1 1 2, 35.89°, intensity 100.0
hkl 2 0 -3, 36.24°, intensity 63.5
hkl 2 1 1, 37.83°, intensity 41.9
hkl 1 0 -4, 40.11°, intensity 56.6
hkl 3 1 -1, 45.58°, intensity 43.1

Structure:
```
data_Sc4Tl2In3Ni2
_chemical_formula_sum 'Sc4 Tl2 In3 Ni2'
_space_group_name_H-M_alt 'P 1 2/m 1'
_space_group_IT_number 10
_cell_length_a 7.5645
_cell_length_b 3.3405
_cell_length_c 9.2062
_cell_angle_alpha 90.00
_cell_angle_beta 94.85
_cell_angle_gamma 90.00
loop_
_space_group_symop_operation_xyz
'x,y,z'
'-x,-y,-z'
'-x,y,-z'
'x,-y,z'
loop_
_atom_site_label
_atom_site_type_symbol
_atom_site_fract_x
_atom_site_fract_y
_atom_site_fract_z
_atom_site_occupancy
Sc1 Sc 0.1876 0.0000 0.3409 1
Sc2 Sc 0.2033 0.0000 0.9376 1
Tl1 Tl 0.1544 0.5000 0.6424 1
In1 In 0.4543 0.5000 0.1649 1
In2 In 0.5000 0.5000 0.5000 1
Ni1 Ni 0.0752 0.5000 0.1307 1
```